# 1
# Ce2Co3Ge4Ir
Theoretical X-ray diffraction stick pattern, Cu Kα X-rays. Input: the GGA-PBE geometry in Alexandria.
Peak positions follow from Bragg's law for the DFT cell and can differ from measured ones.

Main lines, most intense first (10 to 90 degrees two-theta):
d/Å  I (rel.)  hkl
2.504  100  1 1 2
2.055  52  2 0 0
2.567  46  1 0 3
1.257  22  3 1 2
1.604  21  2 1 3
1.778  19  1 0 5
1.453  16  2 2 0
1.345  15  2 1 5

Cell and atoms:
Unit cell a=4.1095 b=4.1095 c=9.8641 alpha=90.00 beta=90.00 gamma=90.00
Space group P-4m2 (No. 115)
One atom of each set of equivalent atoms:
Ce  0.0000  0.5000  0.2416
Co  0.0000  0.5000  0.8745
Co  0.5000  0.5000  0.5000
Ge  0.0000  0.0000  0.0000
Ge  0.0000  0.5000  0.6375
Ge  0.5000  0.5000  0.0000
Ir  0.0000  0.0000  0.5000

---

# 2
# Ce3Co2Ge6Ir
Theoretical X-ray diffraction stick pattern, Cu Kα X-rays. Input: the GGA-PBE geometry in Alexandria.
Peak positions follow from Bragg's law for the DFT cell and can differ from measured ones.

Main lines, most intense first (10 to 90 degrees two-theta):
d/Å  I (rel.)  hkl
3.114  100  1 1 0
2.519  89  2 0 1
2.141  76  2 0 2
2.949  73  0 1 2
1.557  35  2 2 0
1.771  31  0 2 3
1.167  29  2 2 4
1.259  23  3 0 4

Cell and atoms:
Unit cell a=6.2280 b=6.2280 c=7.0442 alpha=90.00 beta=90.00 gamma=120.00
Space group P-3m1 (No. 164)
One atom of each set of equivalent atoms:
Ce  0.0000  0.0000  0.0000
Ce  0.3333  0.6667  0.7174
Co  0.3333  0.6667  0.0162
Ge  0.1940  0.3880  0.3004
Ir  0.0000  0.0000  0.5000

---

# 3
# CeCo2GeN
Theoretical X-ray diffraction stick pattern, Cu Kα X-rays. Input: the GGA-PBE geometry in Alexandria.
Peak positions follow from Bragg's law for the DFT cell and can differ from measured ones.

Main lines, most intense first (10 to 90 degrees two-theta):
d/Å  I (rel.)  hkl
2.440  100  1 1 2
2.426  69  1 3 1
2.574  50  0 4 1
2.591  42  1 3 0
1.816  28  2 0 0
3.451  26  0 0 2
2.162  24  0 4 2
1.721  21  1 3 3

Cell and atoms:
Unit cell a=3.6312 b=11.0973 c=6.9029 alpha=90.00 beta=90.00 gamma=90.00
Space group Cmcm (No. 63)
One atom of each set of equivalent atoms:
Ce  0.0000  0.0439  0.2500
Co  0.0000  0.3374  0.0514
Ge  0.0000  0.2295  0.7500
N  0.0000  0.5000  0.0000

---

# 4
# Ce3Co2Ge6Pt
Theoretical X-ray diffraction stick pattern, Cu Kα X-rays. Input: the GGA-PBE geometry in Alexandria.
Peak positions follow from Bragg's law for the DFT cell and can differ from measured ones.

Main lines, most intense first (10 to 90 degrees two-theta):
d/Å  I (rel.)  hkl
3.133  100  1 1 0
2.532  90  2 0 1
2.151  73  2 0 2
2.957  69  0 1 2
1.567  34  2 2 0
1.777  28  0 2 3
2.342  24  1 1 2
2.051  20  2 1 0

Cell and atoms:
Unit cell a=6.2661 b=6.2661 c=7.0536 alpha=90.00 beta=90.00 gamma=120.00
Space group P-3m1 (No. 164)
One atom of each set of equivalent atoms:
Ce  0.0000  0.0000  0.0000
Ce  0.3333  0.6667  0.7012
Co  0.3333  0.6667  0.9996
Ge  0.1951  0.3901  0.2899
Pt  0.0000  0.0000  0.5000

---

# 5
# CePuCoGe
Theoretical X-ray diffraction stick pattern, Cu Kα X-rays. Input: the GGA-PBE geometry in Alexandria.
Peak positions follow from Bragg's law for the DFT cell and can differ from measured ones.

Main lines, most intense first (10 to 90 degrees two-theta):
d/Å  I (rel.)  hkl
3.087  100  1 0 1
2.289  55  1 1 0
2.090  39  0 1 2
1.839  23  0 2 1
1.433  21  2 1 1
1.280  16  1 2 2
1.543  15  2 0 2
1.322  10  3 0 0

Cell and atoms:
Unit cell a=4.5782 b=4.5782 c=4.9176 alpha=90.00 beta=90.00 gamma=120.00
Space group P3m1 (No. 156)
One atom of each set of equivalent atoms:
Ce  0.0000  0.0000  0.0000
Pu  0.6667  0.3333  0.4274
Co  0.3333  0.6667  0.2120
Ge  0.3333  0.6667  0.7102

---

# 6
# CeUCo2Ge4
Theoretical X-ray diffraction stick pattern, Cu Kα X-rays. Input: the GGA-PBE geometry in Alexandria.
Peak positions follow from Bragg's law for the DFT cell and can differ from measured ones.

Main lines, most intense first (10 to 90 degrees two-theta):
d/Å  I (rel.)  hkl
2.446  100  1 1 2
3.060  52  1 0 2
2.035  41  2 0 0
2.016  30  1 0 4
1.240  24  3 1 2
4.071  23  1 0 0
3.728  21  1 0 1
1.432  20  2 1 4

Cell and atoms:
Unit cell a=4.0710 b=4.0710 c=9.2800 alpha=90.00 beta=90.00 gamma=90.00
Space group P4/mmm (No. 123)
One atom of each set of equivalent atoms:
Ce  0.0000  0.0000  0.0000
U  0.0000  0.0000  0.5000
Co  0.5000  0.5000  0.1198
Ge  0.0000  0.5000  0.2657

---

# 7
# Ce2ZnCo3Ge4
Theoretical X-ray diffraction stick pattern, Cu Kα X-rays. Input: the GGA-PBE geometry in Alexandria.
Peak positions follow from Bragg's law for the DFT cell and can differ from measured ones.

Main lines, most intense first (10 to 90 degrees two-theta):
d/Å  I (rel.)  hkl
2.510  100  1 1 2
2.575  58  1 0 3
2.059  56  2 0 0
1.608  27  2 1 3
1.784  25  1 0 5
1.259  22  3 1 2
1.348  19  2 1 5
1.456  18  2 2 0

Cell and atoms:
Unit cell a=4.1176 b=4.1176 c=9.8990 alpha=90.00 beta=90.00 gamma=90.00
Space group P-4m2 (No. 115)
One atom of each set of equivalent atoms:
Ce  0.0000  0.5000  0.2417
Zn  0.0000  0.0000  0.5000
Co  0.0000  0.5000  0.8779
Co  0.5000  0.5000  0.5000
Ge  0.0000  0.0000  0.0000
Ge  0.0000  0.5000  0.6425
Ge  0.5000  0.5000  0.0000

---

# 8
# CeCo5H3
Theoretical X-ray diffraction stick pattern, Cu Kα X-rays. Input: the GGA-PBE geometry in Alexandria.
Peak positions follow from Bragg's law for the DFT cell and can differ from measured ones.

Main lines, most intense first (10 to 90 degrees two-theta):
d/Å  I (rel.)  hkl
2.129  100  1 3 2
2.188  49  2 2 0
2.965  44  1 1 2
2.148  44  2 0 2
2.016  42  0 0 4
2.949  33  0 2 2
2.506  28  1 3 0
1.483  25  2 2 4

Cell and atoms:
Unit cell a=5.0751 b=8.6470 c=8.0637 alpha=90.00 beta=90.00 gamma=90.00
Space group Cccm (No. 66)
One atom of each set of equivalent atoms:
Ce  0.0000  0.0000  0.0000
Co  0.0000  0.5000  0.2500
Co  0.0563  0.3508  0.0000
Co  0.2500  0.2500  0.2670
H  0.0000  0.1341  0.2500
H  0.2500  0.2500  0.5000